This entry pairs a crystal structure of Ag3Pt with its computed powder X-ray diffraction pattern. Radiation: copper Kα. Structure: a GGA-PBE-relaxed structure.
Neutral-atom scattering factors, no anomalous dispersion.

Structure:
```
4
Lattice="4.1040 0.0000 0.0000 0.0000 4.1040 0.0000 0.0000 0.0000 4.1040" Properties=species:S:1:pos:R:3 pbc="T T T"
Ag 0.0000 0.0000 2.0520
Ag 0.0000 2.0520 0.0000
Ag 2.0520 0.0000 0.0000
Pt 2.0520 2.0520 2.0520
```

Largest 10 diffraction maxima, in order of rising 2θ, 10 to 90 degrees two-theta:
| d/Å | intensity |
| --- | --- |
| 4.104 | 7 |
| 2.902 | 6 |
| 2.369 | 100 |
| 2.052 | 49 |
| 1.835 | 3 |
| 1.675 | 3 |
| 1.451 | 31 |
| 1.368 | 2 |
| 1.237 | 36 |
| 1.185 | 11 |


This entry pairs a crystal structure of KAl11O17 with its computed powder X-ray diffraction pattern. Radiation: copper Kα. Structure: a GGA-PBE-relaxed structure.
Neutral-atom scattering factors, no anomalous dispersion.

Structure:
```
58
Lattice="4.8892 -2.8304 0.0000 4.8892 2.8304 0.0000 -3.1642 0.0000 22.9916" Properties=species:S:1:pos:R:3 pbc="T T T"
K 0.0000 0.0000 0.0000
K 4.0881 0.0000 11.4140
Al 0.8156 0.0000 5.7893
Al 0.8588 0.0000 17.8636
Al 3.3017 1.4220 19.7370
Al 2.4573 0.0000 8.2212
Al 4.8924 1.4098 8.2189
Al 0.8530 0.0000 21.3155
Al 4.0438 0.0000 1.7721
Al 2.4591 0.0000 14.8581
Al 4.9297 1.4301 14.8599
Al 6.5140 1.3992 3.3450
Al 4.0688 0.0000 5.2139
Al 4.1106 0.0000 17.2898
Al 7.3324 0.0000 6.3619
Al 4.8924 -1.4098 8.2189
Al 5.7582 0.0000 19.6901
Al 3.3017 -1.4220 19.7370
Al 7.3442 0.0000 9.8230
Al 7.3619 0.0000 13.2672
Al 6.5140 -1.3992 3.3450
Al 8.9349 0.0000 3.3839
Al 4.9297 -1.4301 14.8599
Al 7.3731 0.0000 16.7132
O -2.3988 0.0000 18.5525
O -0.7210 0.0000 6.9296
O 1.5847 1.3331 6.9269
O 3.2447 1.4382 2.4766
O 0.7996 0.0000 2.5609
O -0.7730 0.0000 13.9840
O 1.6561 1.4039 13.9817
O 1.6755 1.4352 20.6094
O -0.7947 0.0000 20.6161
O 0.8197 0.0000 9.0172
O 3.2770 1.3947 9.1168
O 4.9276 1.5029 4.6634
O 2.3420 0.0000 4.6530
O 0.8510 0.0000 16.0311
O 3.3445 1.3296 16.1582
O 4.0764 0.0000 0.0471
O 1.5847 -1.3331 6.9269
O 4.0765 0.0000 7.0545
O 2.5828 0.0000 18.4327
O 4.8875 1.3320 18.4229
O 1.6561 -1.4039 13.9817
O 5.6886 0.0000 2.4925
O 4.1076 0.0000 14.0615
O 3.2447 -1.4382 2.4766
O 3.2770 -1.3947 9.1168
O 5.6902 0.0000 9.1143
O 4.1303 0.0000 20.5209
O 1.6755 -1.4352 20.6094
O 3.3445 -1.3296 16.1582
O 5.6438 0.0000 16.1566
O 7.3226 0.0000 4.5314
O 4.9276 -1.5029 4.6634
O 7.3523 0.0000 11.5435
O 4.8875 -1.3320 18.4229
```

Largest 10 diffraction maxima, in order of rising 2θ, 10 to 90 degrees two-theta:
| d/Å | intensity |
| --- | --- |
| 5.748 | 100 |
| 4.258 | 46 |
| 2.826 | 72 |
| 2.817 | 47 |
| 2.643 | 61 |
| 2.539 | 69 |
| 1.999 | 91 |
| 1.415 | 38 |
| 1.412 | 92 |
| 1.409 | 56 |


This entry pairs a crystal structure of Li2TmPCO7 with its computed powder X-ray diffraction pattern. Radiation: copper Kα. Structure: a GGA-PBE-relaxed structure.
Neutral-atom scattering factors, no anomalous dispersion.

Structure:
```
24
Lattice="4.9017 0.0000 0.0000 0.0000 6.7467 0.0000 -0.4405 0.0000 8.9574" Properties=species:S:1:pos:R:3 pbc="T T T"
Li 0.8870 0.0893 2.6326
Li 0.8870 3.2841 2.6326
Li 3.5742 3.4627 6.3249
Li 3.5742 6.6574 6.3249
Tm 0.8442 1.6867 7.6912
Tm 3.6170 5.0600 1.2663
P 0.9657 5.0600 8.1634
P 3.4955 1.6867 0.7941
C 1.0319 1.6867 4.9930
C 3.4293 5.0600 3.9644
O -0.1480 1.6867 5.5673
O 0.3676 3.8066 7.4949
O 0.3676 6.3135 7.4949
O 1.0986 5.0600 0.7527
O 1.1905 1.6867 3.7333
O 1.9429 1.6867 0.8788
O 2.0579 1.6867 5.8273
O 2.4033 5.0600 3.1302
O 2.5183 5.0600 8.0787
O 3.2707 5.0600 5.2242
O 3.3626 1.6867 8.2047
O 4.0936 0.4332 1.4625
O 4.0936 2.9402 1.4625
O 4.6092 5.0600 3.3902
```

Largest 10 diffraction maxima, in order of rising 2θ, 10 to 90 degrees two-theta:
| d/Å | intensity |
| --- | --- |
| 5.389 | 100 |
| 4.388 | 48 |
| 4.210 | 40 |
| 3.962 | 78 |
| 3.388 | 53 |
| 3.373 | 79 |
| 3.227 | 35 |
| 2.391 | 30 |
| 2.238 | 32 |
| 2.009 | 33 |